No. 1
This entry pairs a crystal structure of Sm2GaAg with its calculated powder X-ray diffraction pattern. Radiation: a wavelength of 1.5418 Å. Structure: a crystal structure in the Materials Project, relaxed with GGA-PBE.

Most intense lines, 2θ from 10° to 80°, by angle:
20.81°, I 2
24.07°, I 7
34.30°, I 100
40.46°, I 1
42.35°, I 2
49.30°, I 18
55.59°, I 3
61.43°, I 36
72.29°, I 11
77.45°, I 1

Cell and atoms:
Cell: 5.2283 5.2283 5.2283 Å, 60.00 60.00 60.00°
Element x y z (fractional)
Sm 0.2500 0.2500 0.2500
Sm 0.7500 0.7500 0.7500
Ga 0.0000 0.0000 0.0000
Ag 0.5000 0.5000 0.5000

No. 2
This entry pairs a crystal structure of SmGa3Ag with its calculated powder X-ray diffraction pattern. Radiation: a wavelength of 1.5418 Å. Structure: a crystal structure in the Materials Project, relaxed with GGA-PBE.

Most intense lines, 2θ from 10° to 80°, by angle:
32.25°, I 46
32.69°, I 8
33.90°, I 100
42.34°, I 48
44.67°, I 11
46.58°, I 26
54.20°, I 21
54.49°, I 8
59.12°, I 11
61.42°, I 16
64.75°, I 19
72.04°, I 21

Cell and atoms:
Cell: 6.2556 6.2556 6.2556 Å, 140.09 140.09 57.71°
Element x y z (fractional)
Sm 0.0000 0.0000 0.0000
Ga 0.3884 0.3884 0.0000
Ga 0.6116 0.6116 0.0000
Ga 0.7500 0.2500 0.5000
Ag 0.2500 0.7500 0.5000

No. 3
This entry pairs a crystal structure of Tb4Ga12Ag with its calculated powder X-ray diffraction pattern. Radiation: a wavelength of 1.5418 Å. Structure: a crystal structure in the Materials Project, relaxed with GGA-PBE.

Most intense lines, 2θ from 10° to 80°, by angle:
28.89°, I 41
32.39°, I 8
35.58°, I 100
38.54°, I 14
41.32°, I 66
46.46°, I 8
48.88°, I 12
51.20°, I 10
59.86°, I 37
67.81°, I 13
71.62°, I 28
75.34°, I 10

Cell and atoms:
Cell: 7.5693 7.5693 7.5693 Å, 109.47 109.47 109.47°
Element x y z (fractional)
Tb 0.0000 0.0000 0.5000
Tb 0.0000 0.5000 0.0000
Tb 0.5000 0.0000 0.0000
Tb 0.5000 0.5000 0.5000
Ga 0.0000 0.3059 0.3059
Ga 0.0000 0.6941 0.6941
Ga 0.2500 0.5000 0.7500
Ga 0.2500 0.7500 0.5000
Ga 0.3059 0.0000 0.3059
Ga 0.3059 0.3059 0.0000
Ga 0.5000 0.2500 0.7500
Ga 0.5000 0.7500 0.2500
Ga 0.6941 0.0000 0.6941
Ga 0.6941 0.6941 0.0000
Ga 0.7500 0.2500 0.5000
Ga 0.7500 0.5000 0.2500
Ag 0.0000 0.0000 0.0000

No. 4
This entry pairs a crystal structure of TbGaAg with its calculated powder X-ray diffraction pattern. Radiation: a wavelength of 1.5418 Å. Structure: a crystal structure in the Materials Project, relaxed with GGA-PBE.

Most intense lines, 2θ from 10° to 80°, by angle:
22.45°, I 16
32.38°, I 39
33.33°, I 64
33.43°, I 42
33.77°, I 100
34.29°, I 31
39.12°, I 60
39.95°, I 90
52.39°, I 25
52.99°, I 24
64.10°, I 16
65.66°, I 22

Cell and atoms:
Cell: 5.7259 5.7259 7.2378 Å, 127.97 127.97 47.42°
Element x y z (fractional)
Tb 0.0358 0.0358 0.2915
Tb 0.9642 0.9642 0.7085
Ga 0.3406 0.3406 0.8854
Ga 0.6594 0.6594 0.1146
Ag 0.3268 0.3268 0.2773
Ag 0.6732 0.6732 0.7227

No. 5
This entry pairs a crystal structure of Ga12Ag2Te19 with its calculated powder X-ray diffraction pattern. Radiation: a wavelength of 1.5418 Å. Structure: a crystal structure in the Materials Project, relaxed with GGA-PBE.

Most intense lines, 2θ from 10° to 80°, by angle:
11.89°, I 34
25.24°, I 50
25.33°, I 46
25.55°, I 100
25.64°, I 42
26.94°, I 61
28.00°, I 49
28.13°, I 43
28.31°, I 84
32.02°, I 33
32.12°, I 31
46.77°, I 34

Cell and atoms:
Cell: 10.4549 10.5023 10.5181 Å, 89.12 89.77 89.56°
Element x y z (fractional)
Ga 0.0000 0.0000 0.0000
Ga 0.0096 0.3716 0.9056
Ga 0.1002 0.2880 0.2351
Ga 0.1792 0.9522 0.3186
Ga 0.2723 0.9593 0.6885
Ga 0.4063 0.2411 0.4155
Ga 0.5032 0.8674 0.4066
Ga 0.5885 0.7866 0.7375
Ga 0.6342 0.5215 0.4356
Ga 0.6748 0.4466 0.8258
Ga 0.7225 0.2777 0.1437
Ga 0.9836 0.7110 0.7839
Ag 0.5154 0.1215 0.8895
Ag 0.8385 0.8145 0.2338
Te 0.0129 0.9551 0.7396
Te 0.0141 0.1190 0.3992
Te 0.0876 0.8016 0.1395
Te 0.1607 0.5490 0.8047
Te 0.1684 0.1895 0.0017
Te 0.2735 0.7888 0.4997
Te 0.2836 0.4355 0.3126
Te 0.3491 0.1963 0.6579
Te 0.4059 0.8732 0.8881
Te 0.4119 0.0485 0.2468
Te 0.5107 0.5513 0.6500
Te 0.5231 0.3625 0.0091
Te 0.6078 0.6879 0.2561
Te 0.6739 0.2787 0.4012
Te 0.6812 0.9379 0.5638
Te 0.7566 0.0383 0.0665
Te 0.7630 0.6826 0.9007
Te 0.8465 0.2942 0.7358
Te 0.9148 0.4445 0.1367

No. 6
This entry pairs a crystal structure of TmGaAg with its calculated powder X-ray diffraction pattern. Radiation: a wavelength of 1.5418 Å. Structure: a crystal structure in the Materials Project, relaxed with GGA-PBE.

Most intense lines, 2θ from 10° to 80°, by angle:
22.66°, I 19
32.79°, I 35
34.14°, I 100
34.22°, I 95
34.41°, I 31
39.67°, I 55
40.01°, I 97
53.34°, I 22
53.51°, I 18
67.17°, I 16
67.62°, I 18
68.48°, I 20

Cell and atoms:
Cell: 5.7084 5.7084 7.0602 Å, 127.88 127.88 46.91°
Element x y z (fractional)
Tm 0.0356 0.0356 0.2906
Tm 0.9644 0.9644 0.7094
Ga 0.3405 0.3405 0.8822
Ga 0.6595 0.6595 0.1178
Ag 0.3259 0.3259 0.2785
Ag 0.6741 0.6741 0.7215